Diffraction record for BaLaAs2Pd2. The powder XRD pattern is calculated, not measured: it uses a structure optimized by DFT (PBE) and a wavelength of 1.5418 Å.

Structure:
Lattice parameters (Å, degrees): 4.4082 4.4082 8.8162 90.00 90.00 120.00
Space group P-3m1 (No. 164)
Asymmetric unit:
Ba 0.0000 0.0000 0.0000
La 0.0000 0.0000 0.5000
As 0.3333 0.6667 0.2741
Pd 0.3333 0.6667 0.7307

Principal peaks in the range 10° ≤ 2θ ≤ 80°, by angle:
| d [Å] | 2θ/deg | I_rel | h k l |
| --- | --- | --- | --- |
| 8.816 | 10.0 | 3 | 0 0 1 |
| 3.818 | 23.3 | 3 | 1 0 0 |
| 3.503 | 25.4 | 3 | 1 0 1 |
| 2.886 | 31.0 | 100 | 0 1 2 |
| 2.204 | 40.9 | 61 | 1 1 0 |
| 1.763 | 51.9 | 3 | 0 0 5 |
| 1.752 | 52.2 | 23 | 2 0 2 |
| 1.559 | 59.3 | 27 | 1 1 4 |
| 1.371 | 68.4 | 28 | 1 2 2 |
| 1.273 | 74.6 | 8 | 3 0 0 |